[1]
Diffraction record for CsRbSr2. The PXRD pattern is calculated, not measured: it uses a cell relaxed with PBE and Cu Kα (λ = 1.5418 Å).

Structure:
Cell lengths 10.5031, 10.5031, 10.5031 Å; angles 90.00, 90.00, 90.00 degrees
Space group Fm-3m (No. 225)
Inequivalent atoms, fractional coordinates:
Cs: 0.0000 0.0000 0.0000 (multiplicity 4)
Rb: 0.0000 0.0000 0.5000 (multiplicity 4)
Sr: 0.2500 0.2500 0.2500 (multiplicity 8)

Peak list (12 most intense, 2θ from 15° to 90°, low angle first)
2θ = 23.96°, I 100, hkl 2 2 0; 2θ = 28.18°, I 2, hkl 3 1 1; 2θ = 34.15°, I 20, hkl 4 0 0; 2θ = 42.15°, I 44, hkl 4 2 2; 2θ = 49.06°, I 14, hkl 4 4 0; 2θ = 55.32°, I 20, hkl 6 2 0; 2θ = 61.13°, I 5, hkl 4 4 4; 2θ = 66.63°, I 22, hkl 6 4 2; 2θ = 71.92°, I 2, hkl 8 0 0; 2θ = 77.04°, I 11, hkl 8 2 2; 2θ = 82.07°, I 6, hkl 8 4 0; 2θ = 87.03°, I 6, hkl 6 6 4


[2]
Diffraction record for CsRb3Te2. The PXRD pattern is calculated, not measured: it uses a cell relaxed with PBE and Cu Kα (λ = 1.5418 Å).

Structure:
Cell lengths 5.6643, 11.1082, 9.3533 Å; angles 90.00, 90.00, 90.00 degrees
Space group Pmc2_1 (No. 26)
Inequivalent atoms, fractional coordinates:
Cs: 0.0000 0.0728 0.0000 (multiplicity 2)
Rb: 0.0000 0.3233 0.6169 (multiplicity 2)
Rb: 0.5000 0.1798 0.3242 (multiplicity 2)
Rb: 0.5000 0.4220 0.9450 (multiplicity 2)
Te: 0.0000 0.3676 0.2262 (multiplicity 2)
Te: 0.5000 0.1376 0.7164 (multiplicity 2)

Peak list (12 most intense, 2θ from 15° to 90°, low angle first)
2θ = 24.38°, I 51, hkl 1 2 1; 2θ = 24.69°, I 19, hkl 1 0 2; 2θ = 25.96°, I 100, hkl 1 1 2; 2θ = 28.81°, I 40, hkl 1 3 0; 2θ = 30.38°, I 18, hkl 1 3 1; 2θ = 31.59°, I 38, hkl 2 0 0; 2θ = 32.95°, I 25, hkl 0 2 3; 2θ = 34.72°, I 14, hkl 1 3 2; 2θ = 46.29°, I 19, hkl 2 2 3; 2θ = 46.64°, I 15, hkl 1 4 3; 2θ = 52.13°, I 21, hkl 1 1 5; 2θ = 53.16°, I 14, hkl 1 5 3